For TiH, a crystal structure in the Materials Project, relaxed with GGA-PBE gives the theoretical powder XRD pattern in this record (λ = 1.5418 Å (Cu Kα)).

abc: 2.8776 2.8776 5.2633
angles: 90.00 90.00 120.00
Atoms (fractional coordinates):
1 Ti 0.0000 0.0000 0.0000
2 Ti 0.0000 0.0000 0.5000
3 H 0.3333 0.6667 0.2500
4 H 0.6667 0.3333 0.7500

Most intense lines, 15° ≤ 2θ ≤ 90°, in order of rising 2θ:
Position (°2θ)	I/Imax
34.07	38
36.04	100
50.43	73
64.80	16
71.73	4
75.27	19
76.44	9
82.99	14
86.40	13

***

For ZrIn3, a crystal structure in the Materials Project, relaxed with GGA-PBE gives the theoretical powder XRD pattern in this record (λ = 1.5418 Å (Cu Kα)).

abc: 10.0872 10.0872 10.0872
angles: 154.92 154.92 35.76
Atoms (fractional coordinates):
1 Zr 0.1189 0.1189 0.0000
2 Zr 0.8811 0.8811 0.0000
3 In 0.0000 0.5000 0.5000
4 In 0.2500 0.7500 0.5000
5 In 0.3752 0.3752 0.0000
6 In 0.5000 0.0000 0.5000
7 In 0.6248 0.6248 0.0000
8 In 0.7500 0.2500 0.5000

Most intense lines, 15° ≤ 2θ ≤ 90°, in order of rising 2θ:
Position (°2θ)	I/Imax
24.63	1
34.47	100
37.47	20
41.23	30
56.92	22
59.72	10
65.68	14
70.81	23
72.67	11
79.95	2
89.51	3